(1)
Sc2Tc2P2C: computed XRD peak list (Cu Kα, 1.54184 Å), based on a structure optimized by DFT (PBE).
Neutral-atom scattering factors, no anomalous dispersion.

Peak list (6 most intense, 10 to 80 degrees two-theta, low angle first)
d (Å)  I_rel
6.594  100.0
2.613  88.1
2.198  21.0
2.154  71.5
2.012  44.7
1.484  22.5

Cell lengths 4.024, 4.024, 13.187 Å; angles 90.00, 90.00, 90.00 degrees
Element x y z (fractional)
Sc  0.000  0.000  0.171
Sc  0.000  0.000  0.829
Sc  0.500  0.500  0.329
Sc  0.500  0.500  0.671
Tc  0.000  0.500  0.000
Tc  0.000  0.500  0.500
Tc  0.500  0.000  0.000
Tc  0.500  0.000  0.500
P  0.000  0.000  0.373
P  0.000  0.000  0.627
P  0.500  0.500  0.127
P  0.500  0.500  0.873
C  0.000  0.000  0.000
C  0.500  0.500  0.500


(2)
Ta2NbGa: computed XRD peak list (Cu Kα, 1.54184 Å), based on a structure optimized by DFT (PBE).
Neutral-atom scattering factors, no anomalous dispersion.

Peak list (6 most intense, 10 to 80 degrees two-theta, low angle first)
d (Å)  I_rel
3.351  18.3
2.390  23.9
2.349  29.4
2.277  100.0
1.675  16.2
1.342  18.4

Cell lengths 6.207, 9.562, 4.697 Å; angles 90.00, 90.00, 90.00 degrees
Element x y z (fractional)
Ta  0.241  0.106  0.250
Ta  0.241  0.894  0.750
Ta  0.259  0.394  0.750
Ta  0.259  0.606  0.250
Ta  0.741  0.394  0.750
Ta  0.741  0.606  0.250
Ta  0.759  0.106  0.250
Ta  0.759  0.894  0.750
Nb  0.000  0.366  0.250
Nb  0.000  0.634  0.750
Nb  0.500  0.134  0.750
Nb  0.500  0.866  0.250
Ga  0.000  0.156  0.750
Ga  0.000  0.844  0.250
Ga  0.500  0.344  0.250
Ga  0.500  0.656  0.750


(3)
Ac3PuMn2N6: computed XRD peak list (Cu Kα, 1.54184 Å), based on a structure optimized by DFT (PBE).
Neutral-atom scattering factors, no anomalous dispersion.

Peak list (6 most intense, 10 to 80 degrees two-theta, low angle first)
d (Å)  I_rel
4.123  24.0
2.959  100.0
2.874  97.3
2.062  45.2
1.709  20.7
1.692  41.8

Cell lengths 5.919, 5.919, 6.941 Å; angles 90.00, 90.00, 120.00 degrees
Element x y z (fractional)
Ac  0.000  0.000  0.000
Ac  0.333  0.667  0.674
Ac  0.667  0.333  0.326
Pu  0.000  0.000  0.500
Mn  0.333  0.667  0.211
Mn  0.667  0.333  0.789
N  0.171  0.341  0.299
N  0.171  0.829  0.299
N  0.341  0.171  0.701
N  0.659  0.829  0.299
N  0.829  0.171  0.701
N  0.829  0.659  0.701


(4)
Pr3DyEr2Se6: computed XRD peak list (Cu Kα, 1.54184 Å), based on a structure optimized by DFT (PBE).
Neutral-atom scattering factors, no anomalous dispersion.

Peak list (6 most intense, 10 to 80 degrees two-theta, low angle first)
d (Å)  I_rel
2.939  100.0
2.110  25.2
2.105  12.5
2.054  12.1
2.048  24.0
1.684  12.8

Cell lengths 7.109, 7.109, 7.380 Å; angles 99.23, 99.23, 120.21 degrees
Element x y z (fractional)
Pr  0.000  0.000  0.000
Pr  0.335  0.665  0.000
Pr  0.665  0.335  0.000
Dy  0.500  0.500  0.500
Er  0.166  0.834  0.500
Er  0.834  0.166  0.500
Se  0.088  0.423  0.270
Se  0.241  0.241  0.729
Se  0.423  0.088  0.270
Se  0.577  0.912  0.730
Se  0.759  0.759  0.271
Se  0.912  0.577  0.730


(5)
Rb2NbSe5: computed XRD peak list (Cu Kα, 1.54184 Å), based on a structure optimized by DFT (PBE).
Neutral-atom scattering factors, no anomalous dispersion.

Peak list (6 most intense, 10 to 80 degrees two-theta, low angle first)
d (Å)  I_rel
7.357  97.0
6.699  72.7
3.879  71.9
3.679  100.0
3.356  90.5
2.379  80.8

Cell lengths 5.654, 8.803, 13.399 Å; angles 90.00, 90.00, 90.00 degrees
Element x y z (fractional)
Rb  0.000  0.000  0.000
Rb  0.000  0.000  0.421
Rb  0.500  0.500  0.500
Rb  0.500  0.500  0.921
Nb  0.000  0.500  0.223
Nb  0.500  0.000  0.723
Se  0.000  0.500  0.046
Se  0.232  0.210  0.789
Se  0.232  0.790  0.789
Se  0.268  0.290  0.289
Se  0.268  0.710  0.289
Se  0.500  0.000  0.546
Se  0.732  0.290  0.289
Se  0.732  0.710  0.289
Se  0.768  0.210  0.789
Se  0.768  0.790  0.789


(6)
ErNbGa3: computed XRD peak list (Cu Kα, 1.54184 Å), based on a structure optimized by DFT (PBE).
Neutral-atom scattering factors, no anomalous dispersion.

Peak list (6 most intense, 10 to 80 degrees two-theta, low angle first)
d (Å)  I_rel
2.889  61.1
2.578  100.0
2.124  36.3
2.099  24.1
2.000  46.6
1.644  22.8

Cell lengths 4.000, 4.000, 12.533 Å; angles 90.00, 90.00, 90.00 degrees
Element x y z (fractional)
Er  0.000  0.000  0.000
Er  0.500  0.500  0.500
Nb  0.000  0.000  0.642
Nb  0.500  0.500  0.142
Ga  0.000  0.000  0.434
Ga  0.000  0.500  0.285
Ga  0.000  0.500  0.785
Ga  0.500  0.000  0.285
Ga  0.500  0.000  0.785
Ga  0.500  0.500  0.934


(7)
MgTi2ZnPt4: computed XRD peak list (Cu Kα, 1.54184 Å), based on a structure optimized by DFT (PBE).
Neutral-atom scattering factors, no anomalous dispersion.

Peak list (6 most intense, 10 to 80 degrees two-theta, low angle first)
d (Å)  I_rel
3.149  45.7
2.227  100.0
1.818  13.4
1.574  16.8
1.408  18.0
1.285  34.1

Cell lengths 7.713, 7.713, 7.713 Å; angles 33.56, 33.56, 33.56 degrees
Element x y z (fractional)
Mg  0.000  0.000  0.000
Ti  0.249  0.249  0.249
Ti  0.751  0.751  0.751
Zn  0.500  0.500  0.500
Pt  0.125  0.125  0.125
Pt  0.375  0.375  0.375
Pt  0.625  0.625  0.625
Pt  0.875  0.875  0.875


(8)
Li2Nd3Se3O2: computed XRD peak list (Cu Kα, 1.54184 Å), based on a structure optimized by DFT (PBE).
Neutral-atom scattering factors, no anomalous dispersion.

Peak list (6 most intense, 10 to 80 degrees two-theta, low angle first)
d (Å)  I_rel
3.725  42.1
3.197  48.7
2.929  100.0
2.160  60.5
2.071  38.9
1.738  32.9

Cell lengths 13.120, 13.120, 13.120 Å; angles 161.84, 161.84, 25.80 degrees
Element x y z (fractional)
Li  0.250  0.750  0.500
Li  0.750  0.250  0.500
Nd  0.000  0.000  0.000
Nd  0.362  0.362  0.000
Nd  0.638  0.638  0.000
Se  0.118  0.118  0.000
Se  0.500  0.500  0.000
Se  0.882  0.882  0.000
O  0.279  0.279  0.000
O  0.721  0.721  0.000